Record 1
The following is a calculated powder XRD pattern of Li9Mn2Co5O16. It was derived from a crystal structure in the Materials Project, relaxed with GGA+U, using Cu Kα.
Neutral-atom scattering factors, no anomalous dispersion.

Structure:
a = 9.005 Å, b = 9.005 Å, c = 5.875 Å
α = 90.14°, β = 90.14°, γ = 37.45°
Element x y z (fractional)
Li: 0.000 0.000 0.000
Li: 0.000 0.000 0.500
Li: 0.127 0.634 0.747
Li: 0.248 0.248 0.501
Li: 0.366 0.873 0.253
Li: 0.500 0.500 0.000
Li: 0.634 0.127 0.747
Li: 0.752 0.752 0.499
Li: 0.873 0.366 0.253
Mn: 0.248 0.248 0.001
Mn: 0.752 0.752 0.999
Co: 0.128 0.635 0.256
Co: 0.365 0.872 0.744
Co: 0.500 0.500 0.500
Co: 0.635 0.128 0.256
Co: 0.872 0.365 0.744
O: 0.002 0.500 0.773
O: 0.127 0.127 0.993
O: 0.129 0.129 0.525
O: 0.265 0.728 0.268
O: 0.272 0.735 0.732
O: 0.370 0.370 0.029
O: 0.387 0.387 0.498
O: 0.500 0.002 0.773
O: 0.500 0.998 0.227
O: 0.613 0.613 0.502
O: 0.630 0.630 0.971
O: 0.728 0.265 0.268
O: 0.735 0.272 0.732
O: 0.871 0.871 0.475
O: 0.873 0.873 0.007
O: 0.998 0.500 0.227

Top 6 peaks for 2θ from 10° to 90°, by angle:
d = 4.843 Å, rel. 100; d = 2.557 Å, rel. 15; d = 2.481 Å, rel. 26; d = 2.132 Å, rel. 29; d = 2.060 Å, rel. 53; d = 1.483 Å, rel. 15



Record 2
The following is a calculated powder XRD pattern of Li4MnVP3O12. It was derived from a crystal structure in the Materials Project, relaxed with GGA+U, using Cu Kα.
Neutral-atom scattering factors, no anomalous dispersion.

Structure:
a = 8.415 Å, b = 8.437 Å, c = 9.301 Å
α = 116.73°, β = 90.37°, γ = 119.40°
Element x y z (fractional)
Li: 0.057 0.364 0.097
Li: 0.202 0.669 0.409
Li: 0.264 0.196 0.865
Li: 0.341 0.075 0.147
Li: 0.659 0.925 0.853
Li: 0.736 0.804 0.135
Li: 0.798 0.331 0.591
Li: 0.943 0.636 0.903
Mn: 0.150 0.287 0.438
Mn: 0.850 0.713 0.562
V: 0.352 0.691 0.035
V: 0.648 0.309 0.965
P: 0.051 0.785 0.246
P: 0.255 0.809 0.762
P: 0.453 0.507 0.246
P: 0.547 0.493 0.754
P: 0.745 0.191 0.238
P: 0.949 0.215 0.754
O: 0.033 0.796 0.412
O: 0.134 0.896 0.755
O: 0.148 0.999 0.254
O: 0.150 0.362 0.893
O: 0.168 0.680 0.183
O: 0.208 0.619 0.591
O: 0.210 0.742 0.899
O: 0.249 0.426 0.268
O: 0.398 0.383 0.593
O: 0.446 0.306 0.101
O: 0.472 0.987 0.823
O: 0.497 0.660 0.179
O: 0.503 0.340 0.821
O: 0.528 0.013 0.177
O: 0.554 0.694 0.899
O: 0.602 0.617 0.407
O: 0.751 0.574 0.732
O: 0.790 0.258 0.101
O: 0.792 0.381 0.409
O: 0.832 0.320 0.817
O: 0.850 0.638 0.107
O: 0.852 0.001 0.746
O: 0.866 0.104 0.245
O: 0.967 0.204 0.588

Top 6 peaks for 2θ from 10° to 90°, by angle:
d = 6.261 Å, rel. 69; d = 4.622 Å, rel. 100; d = 3.738 Å, rel. 60; d = 3.717 Å, rel. 73; d = 2.893 Å, rel. 42; d = 2.883 Å, rel. 40



Record 3
The following is a calculated powder XRD pattern of Ce3MoO7. It was derived from a crystal structure in the Materials Project, relaxed with GGA+U, using Cu Kα.
Neutral-atom scattering factors, no anomalous dispersion.

Structure:
a = 7.591 Å, b = 7.646 Å, c = 10.799 Å
α = 90.00°, β = 90.00°, γ = 90.00°
Element x y z (fractional)
Ce: 0.005 0.036 0.220
Ce: 0.009 0.046 0.772
Ce: 0.243 0.717 0.006
Ce: 0.257 0.283 0.506
Ce: 0.491 0.954 0.272
Ce: 0.495 0.964 0.720
Ce: 0.505 0.464 0.780
Ce: 0.509 0.454 0.228
Ce: 0.743 0.783 0.994
Ce: 0.757 0.217 0.494
Ce: 0.991 0.546 0.728
Ce: 0.995 0.536 0.280
Mo: 0.250 0.254 0.001
Mo: 0.250 0.746 0.501
Mo: 0.750 0.246 0.999
Mo: 0.750 0.754 0.499
O: 0.001 0.137 0.992
O: 0.005 0.780 0.863
O: 0.012 0.264 0.369
O: 0.202 0.916 0.350
O: 0.211 0.463 0.136
O: 0.211 0.474 0.878
O: 0.212 0.965 0.624
O: 0.288 0.035 0.124
O: 0.289 0.526 0.378
O: 0.289 0.537 0.636
O: 0.298 0.084 0.850
O: 0.488 0.736 0.869
O: 0.495 0.220 0.363
O: 0.499 0.863 0.492
O: 0.501 0.363 0.008
O: 0.505 0.720 0.137
O: 0.512 0.236 0.631
O: 0.702 0.584 0.650
O: 0.711 0.026 0.122
O: 0.711 0.037 0.864
O: 0.712 0.535 0.376
O: 0.788 0.465 0.876
O: 0.789 0.963 0.364
O: 0.789 0.974 0.622
O: 0.798 0.416 0.150
O: 0.988 0.764 0.131
O: 0.995 0.280 0.637
O: 0.999 0.637 0.508

Top 6 peaks for 2θ from 10° to 90°, by angle:
d = 3.120 Å, rel. 92; d = 3.105 Å, rel. 100; d = 2.695 Å, rel. 64; d = 1.907 Å, rel. 49; d = 1.627 Å, rel. 32; d = 1.621 Å, rel. 25



Record 4
The following is a calculated powder XRD pattern of KMg6FeO8. It was derived from a crystal structure in the Materials Project, relaxed with GGA+U, using Cu Kα.
Neutral-atom scattering factors, no anomalous dispersion.

Structure:
a = 4.411 Å, b = 4.411 Å, c = 8.779 Å
α = 90.00°, β = 90.00°, γ = 90.00°
Element x y z (fractional)
K: 0.000 0.000 0.000
Mg: 0.000 0.000 0.500
Mg: 0.000 0.500 0.257
Mg: 0.000 0.500 0.743
Mg: 0.500 0.000 0.257
Mg: 0.500 0.000 0.743
Mg: 0.500 0.500 0.500
Fe: 0.500 0.500 0.000
O: 0.000 0.000 0.276
O: 0.000 0.000 0.724
O: 0.000 0.500 0.000
O: 0.000 0.500 0.500
O: 0.500 0.000 0.000
O: 0.500 0.000 0.500
O: 0.500 0.500 0.242
O: 0.500 0.500 0.758

Top 6 peaks for 2θ from 10° to 90°, by angle:
d = 2.543 Å, rel. 32; d = 2.205 Å, rel. 100; d = 2.195 Å, rel. 47; d = 1.560 Å, rel. 29; d = 1.556 Å, rel. 54; d = 1.271 Å, rel. 25



Record 5
The following is a calculated powder XRD pattern of Li9Mn2Co5O16. It was derived from a crystal structure in the Materials Project, relaxed with GGA+U, using Cu Kα.
Neutral-atom scattering factors, no anomalous dispersion.

Structure:
a = 5.055 Å, b = 5.905 Å, c = 10.141 Å
α = 89.94°, β = 80.03°, γ = 74.36°
Element x y z (fractional)
Li: 0.000 0.000 0.000
Li: 0.000 0.243 0.241
Li: 0.000 0.756 0.758
Li: 0.492 0.625 0.877
Li: 0.496 0.134 0.371
Li: 0.505 0.366 0.119
Li: 0.508 0.871 0.629
Li: 0.997 0.001 0.500
Li: 0.997 0.508 0.994
Mn: 0.000 0.499 0.498
Mn: 0.498 0.880 0.122
Co: 0.496 0.624 0.373
Co: 0.498 0.110 0.876
Co: 0.499 0.370 0.631
Co: 0.994 0.243 0.758
Co: 0.998 0.758 0.243
O: 0.232 0.215 0.562
O: 0.237 0.446 0.324
O: 0.248 0.674 0.549
O: 0.249 0.917 0.300
O: 0.252 0.694 0.078
O: 0.260 0.953 0.808
O: 0.264 0.429 0.803
O: 0.275 0.162 0.063
O: 0.727 0.819 0.948
O: 0.730 0.049 0.189
O: 0.739 0.592 0.192
O: 0.748 0.073 0.686
O: 0.751 0.331 0.443
O: 0.753 0.304 0.922
O: 0.767 0.551 0.672
O: 0.771 0.785 0.430

Top 6 peaks for 2θ from 10° to 90°, by angle:
d = 4.837 Å, rel. 100; d = 2.520 Å, rel. 14; d = 2.483 Å, rel. 26; d = 2.103 Å, rel. 29; d = 2.064 Å, rel. 54; d = 1.469 Å, rel. 15